(1)
Starting from a PBE-relaxed structure, the X-ray diffraction stick pattern of Nd4SmHo3 was computed for copper Kα.
Neutral-atom scattering factors, no anomalous dispersion.

Structural model:
```
data_Nd4SmHo3
_chemical_formula_sum 'Nd8 Sm2 Ho6'
_cell_length_a 10.241
_cell_length_b 7.224
_cell_length_c 7.223
_cell_angle_alpha 90.00
_cell_angle_beta 90.00
_cell_angle_gamma 90.00
_space_group_name_H-M_alt 'P m n a'
_space_group_IT_number 53
loop_
_space_group_symop_operation_xyz
'x,y,z'
'-x,-y,-z'
'-x+1/2,-y,z+1/2'
'x+1/2,y,-z+1/2'
'x,-y,-z'
'-x,y,z'
'-x+1/2,y,-z+1/2'
'x+1/2,-y,z+1/2'
loop_
_atom_site_label
_atom_site_fract_x
_atom_site_fract_y
_atom_site_fract_z
_atom_site_occupancy
Nd1 0.000 0.000 0.000 1
Nd2 0.000 0.500 0.500 1
Nd3 0.250 0.249 0.250 1
Sm1 0.000 0.500 0.000 1
Ho1 0.000 0.000 0.500 1
Ho2 0.250 0.248 0.750 1
```

Most intense lines, 2θ from 5° to 70°, sorted by position:
Position (°2θ), intensity, (hkl)
30.28, 100, 2 2 0
35.11, 51, 4 0 0
50.50, 36, 4 2 2
59.94, 14, 6 2 0
60.06, 29, 2 4 2
62.99, 12, 4 4 0


(2)
Starting from a PBE-relaxed structure, the X-ray diffraction stick pattern of Sr4TeCl6 was computed for copper Kα.
Neutral-atom scattering factors, no anomalous dispersion.

Structural model:
```
data_Sr4TeCl6
_chemical_formula_sum 'Sr8 Te2 Cl12'
_cell_length_a 10.180
_cell_length_b 10.180
_cell_length_c 7.142
_cell_angle_alpha 90.00
_cell_angle_beta 90.00
_cell_angle_gamma 90.00
_space_group_name_H-M_alt 'P 42/n m c'
_space_group_IT_number 137
loop_
_space_group_symop_operation_xyz
'x,y,z'
'-x,-y,-z'
'-y+1/2,x,z+1/2'
'y+1/2,-x,-z+1/2'
'-x+1/2,-y+1/2,z'
'x+1/2,y+1/2,-z'
'y,-x+1/2,z+1/2'
'-y,x+1/2,-z+1/2'
'x+1/2,-y,-z'
'-x+1/2,y,z'
'-y,-x,-z+1/2'
'y,x,z+1/2'
'-x,y+1/2,-z'
'x,-y+1/2,z'
'y+1/2,x+1/2,-z+1/2'
'-y+1/2,-x+1/2,z+1/2'
loop_
_atom_site_label
_atom_site_fract_x
_atom_site_fract_y
_atom_site_fract_z
_atom_site_occupancy
Sr1 0.016 0.250 0.021 1
Te1 0.250 0.750 0.750 1
Cl1 0.034 0.534 0.250 1
Cl2 0.250 0.250 0.269 1
```

Most intense lines, 2θ from 5° to 70°, sorted by position:
Position (°2θ), intensity, (hkl)
15.15, 23, 1 0 1
21.44, 100, 2 0 1
23.17, 23, 2 1 1
29.14, 23, 3 0 1
35.27, 46, 4 0 0
35.41, 96, 2 2 2
41.64, 32, 4 2 1
41.90, 15, 2 0 3
42.87, 13, 2 1 3
50.73, 13, 4 4 0
63.39, 23, 6 2 2
63.67, 13, 4 0 4


(3)
Starting from a PBE-relaxed structure, the X-ray diffraction stick pattern of NaSnBiSe3 was computed for copper Kα.
Neutral-atom scattering factors, no anomalous dispersion.

Structural model:
```
data_NaSnBiSe3
_chemical_formula_sum 'Na2 Sn2 Bi2 Se6'
_cell_length_a 8.620
_cell_length_b 4.184
_cell_length_c 10.063
_cell_angle_alpha 90.00
_cell_angle_beta 95.55
_cell_angle_gamma 90.00
_space_group_name_H-M_alt 'P 1 21/m 1'
_space_group_IT_number 11
loop_
_space_group_symop_operation_xyz
'x,y,z'
'-x,-y,-z'
'-x,y+1/2,-z'
'x,-y+1/2,z'
loop_
_atom_site_label
_atom_site_fract_x
_atom_site_fract_y
_atom_site_fract_z
_atom_site_occupancy
Na1 0.133 0.250 0.144 1
Sn1 0.146 0.250 0.549 1
Bi1 0.376 0.750 0.844 1
Se1 0.117 0.250 0.823 1
Se2 0.354 0.750 0.555 1
Se3 0.386 0.750 0.143 1
```

Most intense lines, 2θ from 5° to 70°, sorted by position:
Position (°2θ), intensity, (hkl)
10.31, 18, 1 0 0
12.92, 74, 1 0 -1
25.65, 29, 1 1 1
26.70, 46, 0 0 3
29.83, 100, 2 1 0
36.39, 15, 1 0 -4
39.02, 34, 2 1 -3
41.86, 27, 2 1 3
42.13, 18, 4 0 0
43.25, 19, 0 2 0
44.30, 15, 1 1 4
51.56, 15, 0 2 3


(4)
Starting from a PBE-relaxed structure, the X-ray diffraction stick pattern of Sr3Zn2In4 was computed for copper Kα.
Neutral-atom scattering factors, no anomalous dispersion.

Structural model:
```
data_Sr3Zn2In4
_chemical_formula_sum 'Sr6 Zn4 In8'
_cell_length_a 11.787
_cell_length_b 4.923
_cell_length_c 9.482
_cell_angle_alpha 90.00
_cell_angle_beta 107.80
_cell_angle_gamma 90.00
_space_group_name_H-M_alt 'C 1 2/m 1'
_space_group_IT_number 12
loop_
_space_group_symop_operation_xyz
'x,y,z'
'-x,-y,-z'
'-x,y,-z'
'x,-y,z'
'x+1/2,y+1/2,z'
'-x+1/2,-y+1/2,-z'
'-x+1/2,y+1/2,-z'
'x+1/2,-y+1/2,z'
loop_
_atom_site_label
_atom_site_fract_x
_atom_site_fract_y
_atom_site_fract_z
_atom_site_occupancy
Sr1 0.000 0.000 0.000 1
Sr2 0.142 0.500 0.680 1
Zn1 0.156 0.500 0.325 1
In1 0.090 0.000 0.411 1
In2 0.223 0.500 0.070 1
```

Most intense lines, 2θ from 5° to 70°, sorted by position:
Position (°2θ), intensity, (hkl)
21.04, 18, 2 0 1
29.20, 28, 3 1 -1
29.68, 100, 1 1 2
30.00, 49, 3 1 0
30.33, 27, 4 0 -1
36.32, 16, 4 0 1
36.50, 51, 0 2 0
36.93, 85, 3 1 -3
47.74, 15, 0 2 3
48.17, 15, 4 2 -1
57.96, 14, 7 1 -2
65.99, 15, 3 3 -3


(5)
Starting from a PBE-relaxed structure, the X-ray diffraction stick pattern of LiHf2ZrN4 was computed for copper Kα.
Neutral-atom scattering factors, no anomalous dispersion.

Structural model:
```
data_LiHf2ZrN4
_chemical_formula_sum 'Li2 Hf4 Zr2 N8'
_cell_length_a 4.500
_cell_length_b 4.500
_cell_length_c 9.001
_cell_angle_alpha 90.00
_cell_angle_beta 90.00
_cell_angle_gamma 90.00
_space_group_name_H-M_alt 'I 4/m m m'
_space_group_IT_number 139
_space_group_name_Hall '-I 4 2'
loop_
_atom_site_label
_atom_site_fract_x
_atom_site_fract_y
_atom_site_fract_z
_atom_site_occupancy
Li1 0.000 0.000 0.000 1
Hf1 0.000 0.500 0.250 1
Zr1 0.000 0.000 0.500 1
N1 0.000 0.000 0.254 1
N2 0.000 0.500 0.000 1
```

Most intense lines, 2θ from 5° to 70°, sorted by position:
Position (°2θ), intensity, (hkl)
19.73, 40, 0 0 2
22.08, 16, 1 0 1
28.04, 35, 1 1 0
34.52, 100, 1 1 2
40.07, 80, 2 0 0
45.04, 20, 2 0 2
46.22, 4, 2 1 1
49.62, 15, 1 1 4
57.96, 53, 2 2 0
61.85, 10, 2 2 2
65.60, 7, 3 1 0
69.24, 43, 3 1 2


(6)
Starting from a PBE-relaxed structure, the X-ray diffraction stick pattern of MgSb2P6 was computed for copper Kα.
Neutral-atom scattering factors, no anomalous dispersion.

Structural model:
```
data_MgSb2P6
_chemical_formula_sum 'Mg2 Sb4 P12'
_cell_length_a 5.807
_cell_length_b 5.807
_cell_length_c 17.182
_cell_angle_alpha 90.00
_cell_angle_beta 90.00
_cell_angle_gamma 90.00
_space_group_name_H-M_alt 'P 42/m n m'
_space_group_IT_number 136
_space_group_name_Hall '-P 4n 2n'
loop_
_atom_site_label
_atom_site_fract_x
_atom_site_fract_y
_atom_site_fract_z
_atom_site_occupancy
Mg1 0.000 0.000 0.000 1
Sb1 0.000 0.000 0.392 1
P1 0.120 0.120 0.156 1
P2 0.202 0.202 0.500 1
```

Most intense lines, 2θ from 5° to 70°, sorted by position:
Position (°2θ), intensity, (hkl)
10.30, 21, 0 0 2
16.11, 55, 1 0 1
20.68, 23, 0 0 4
21.64, 100, 1 1 0
30.11, 41, 1 1 4
30.22, 49, 1 0 5
30.80, 17, 2 0 0
34.94, 21, 2 1 1
37.38, 25, 2 0 4
43.69, 40, 2 1 5
49.69, 19, 3 0 3
54.37, 19, 3 0 5


(7)
Starting from a PBE-relaxed structure, the X-ray diffraction stick pattern of Pr3Nd3Th2 was computed for copper Kα.
Neutral-atom scattering factors, no anomalous dispersion.

Structural model:
```
data_Pr3Nd3Th2
_chemical_formula_sum 'Pr3 Nd3 Th2'
_cell_length_a 5.967
_cell_length_b 6.202
_cell_length_c 8.769
_cell_angle_alpha 110.56
_cell_angle_beta 109.80
_cell_angle_gamma 90.29
_space_group_name_H-M_alt 'P -1'
_space_group_IT_number 2
loop_
_space_group_symop_operation_xyz
'x,y,z'
'-x,-y,-z'
loop_
_atom_site_label
_atom_site_fract_x
_atom_site_fract_y
_atom_site_fract_z
_atom_site_occupancy
Pr1 0.000 0.000 0.000 1
Pr2 0.138 0.688 0.274 1
Nd1 0.364 0.913 0.728 1
Nd2 0.500 0.500 0.000 1
Th1 0.250 0.320 0.501 1
```

Most intense lines, 2θ from 5° to 70°, sorted by position:
Position (°2θ), intensity, (hkl)
11.57, 9, 0 0 1
28.79, 23, 0 2 -1
29.95, 32, 2 0 -1
31.30, 100, 1 1 -3
33.15, 10, 1 2 -1
41.91, 8, 2 -2 0
42.14, 8, 2 2 -2
47.55, 8, 0 0 4
53.96, 11, 3 -1 1
54.10, 11, 3 1 -4
57.24, 12, 2 0 -5
62.24, 8, 4 0 -2


(8)
Starting from a PBE-relaxed structure, the X-ray diffraction stick pattern of MgCu3Pd3 was computed for copper Kα.
Neutral-atom scattering factors, no anomalous dispersion.

Structural model:
```
data_MgCu3Pd3
_chemical_formula_sum 'Mg6 Cu18 Pd18'
_cell_length_a 5.8876
_cell_length_b 5.8876
_cell_length_c 20.8565
_cell_angle_alpha 90.00
_cell_angle_beta 90.00
_cell_angle_gamma 120.00
_space_group_name_H-M_alt 'R -3'
_space_group_IT_number 148
_space_group_name_Hall '-R 3'
loop_
_atom_site_label
_atom_site_fract_x
_atom_site_fract_y
_atom_site_fract_z
_atom_site_occupancy
Mg1 0.0000 0.0000 0.1955 1
Cu1 0.0460 0.2606 0.6938 1
Pd1 0.0223 0.4550 0.2276 1
```

Most intense lines, 2θ from 5° to 70°, sorted by position:
Position (°2θ), intensity, (hkl)
30.36, 49, 1 1 0
33.04, 22, 2 -1 3
34.88, 30, 1 0 7
36.27, 100, 2 0 2
38.83, 70, 0 0 9
40.14, 92, 2 -1 6
41.51, 57, 2 0 5
46.90, 78, 0 2 7
47.37, 94, 2 1 1
48.01, 29, 3 -2 2
50.08, 58, 1 1 9
66.24, 31, 1 3 1


(9)
Starting from a PBE-relaxed structure, the X-ray diffraction stick pattern of Li2Ag7Pb was computed for copper Kα.
Neutral-atom scattering factors, no anomalous dispersion.

Structural model:
```
data_Li2Ag7Pb
_chemical_formula_sum 'Li4 Ag14 Pb2'
_cell_length_a 7.464
_cell_length_b 13.039
_cell_length_c 4.568
_cell_angle_alpha 90.00
_cell_angle_beta 90.00
_cell_angle_gamma 90.00
_space_group_name_H-M_alt 'C m m m'
_space_group_IT_number 65
_space_group_name_Hall '-C 2 2'
loop_
_atom_site_label
_atom_site_fract_x
_atom_site_fract_y
_atom_site_fract_z
_atom_site_occupancy
Li1 0.000 0.198 0.000 1
Ag1 0.000 0.000 0.000 1
Ag2 0.000 0.278 0.500 1
Ag3 0.189 0.377 0.000 1
Pb1 0.000 0.500 0.500 1
```

Most intense lines, 2θ from 5° to 70°, sorted by position:
Position (°2θ), intensity, (hkl)
13.66, 100, 1 1 0
23.84, 59, 1 1 1
30.82, 44, 1 3 1
30.94, 89, 2 0 1
33.78, 90, 0 4 1
36.60, 95, 2 4 0
39.45, 58, 0 0 2
41.68, 78, 1 5 1
41.91, 91, 3 1 1
50.71, 17, 3 5 0
54.89, 62, 2 4 2
66.08, 15, 3 5 2


(10)
Starting from a PBE-relaxed structure, the X-ray diffraction stick pattern of Ac3Al2Si2Ni4 was computed for copper Kα.
Neutral-atom scattering factors, no anomalous dispersion.

Structural model:
```
data_Ac3Al2Si2Ni4
_chemical_formula_sum 'Ac3 Al2 Si2 Ni4'
_cell_length_a 4.1089
_cell_length_b 4.1089
_cell_length_c 16.1375
_cell_angle_alpha 90.00
_cell_angle_beta 90.00
_cell_angle_gamma 120.00
_space_group_name_H-M_alt 'P -3 m 1'
_space_group_IT_number 164
_space_group_name_Hall '-P 3 2"'
loop_
_atom_site_label
_atom_site_fract_x
_atom_site_fract_y
_atom_site_fract_z
_atom_site_occupancy
Ac1 0.0000 0.0000 0.0000 1
Ac2 0.0000 0.0000 0.2797 1
Al1 0.3333 0.6667 0.5539 1
Si1 0.3333 0.6667 0.1394 1
Ni1 0.3333 0.6667 0.4052 1
Ni2 0.3333 0.6667 0.8561 1
```

Most intense lines, 2θ from 5° to 70°, sorted by position:
Position (°2θ), intensity, (hkl)
5.48, 18, 0 0 1
25.02, 51, 1 0 0
27.39, 24, 0 1 2
30.11, 87, 0 1 3
33.58, 100, 0 1 4
39.07, 22, 0 0 7
44.08, 56, 1 1 0
46.96, 24, 1 0 7
54.31, 17, 2 0 3
56.53, 23, 2 0 4
60.35, 36, 1 1 7
69.28, 15, 0 1 11


(11)
Starting from a PBE-relaxed structure, the X-ray diffraction stick pattern of HfTh2Sc6 was computed for copper Kα.
Neutral-atom scattering factors, no anomalous dispersion.

Structural model:
```
data_HfTh2Sc6
_chemical_formula_sum 'Hf4 Th8 Sc24'
_cell_length_a 9.278
_cell_length_b 16.476
_cell_length_c 6.203
_cell_angle_alpha 90.00
_cell_angle_beta 100.18
_cell_angle_gamma 90.00
_space_group_name_H-M_alt 'C 1 2/c 1'
_space_group_IT_number 15
loop_
_space_group_symop_operation_xyz
'x,y,z'
'-x,-y,-z'
'-x,y,-z+1/2'
'x,-y,z+1/2'
'x+1/2,y+1/2,z'
'-x+1/2,-y+1/2,-z'
'-x+1/2,y+1/2,-z+1/2'
'x+1/2,-y+1/2,z+1/2'
loop_
_atom_site_label
_atom_site_fract_x
_atom_site_fract_y
_atom_site_fract_z
_atom_site_occupancy
Hf1 0.000 0.025 0.250 1
Th1 0.181 0.469 0.920 1
Sc1 0.045 0.334 0.509 1
Sc2 0.144 0.142 0.644 1
Sc3 0.159 0.202 0.167 1
```

Most intense lines, 2θ from 5° to 70°, sorted by position:
Position (°2θ), intensity, (hkl)
10.74, 100, 0 2 0
21.57, 15, 0 4 0
29.85, 25, 3 1 0
32.99, 43, 1 1 2
33.19, 17, 1 5 1
33.66, 40, 3 3 0
34.10, 38, 2 2 -2
35.86, 15, 0 6 1
39.15, 15, 2 4 -2
42.80, 9, 1 5 2
54.05, 9, 5 1 -2
55.48, 9, 4 2 2


(12)
Starting from a PBE-relaxed structure, the X-ray diffraction stick pattern of Nd3Ga2Co7 was computed for copper Kα.
Neutral-atom scattering factors, no anomalous dispersion.

Structural model:
```
data_Nd3Ga2Co7
_chemical_formula_sum 'Nd9 Ga6 Co21'
_cell_length_a 5.2444
_cell_length_b 5.2444
_cell_length_c 23.7879
_cell_angle_alpha 90.00
_cell_angle_beta 90.00
_cell_angle_gamma 120.00
_space_group_name_H-M_alt 'R -3 m'
_space_group_IT_number 166
_space_group_name_Hall '-R 3 2"'
loop_
_atom_site_label
_atom_site_fract_x
_atom_site_fract_y
_atom_site_fract_z
_atom_site_occupancy
Nd1 0.0000 0.0000 0.0000 1
Nd2 0.0000 0.0000 0.1404 1
Ga1 0.0000 0.0000 0.3319 1
Co1 0.0000 0.0000 0.5000 1
Co2 0.0075 0.5038 0.0822 1
```

Most intense lines, 2θ from 5° to 70°, sorted by position:
Position (°2θ), intensity, (hkl)
32.92, 41, 1 0 7
34.19, 56, 1 1 0
36.10, 28, 0 1 8
39.88, 37, 0 2 1
41.28, 100, 1 1 6
42.62, 11, 0 2 4
44.19, 16, 2 0 5
45.77, 11, 0 0 12
46.51, 13, 0 1 11
60.42, 13, 2 1 7
62.47, 13, 1 2 8
66.06, 25, 0 3 6